Structure and theoretical powder XRD pattern of Na2PmGaS4 (a DFT-relaxed cell (PBE, Alexandria); Cu Ka).

The 10 most intense peaks (10 to 80 degrees two-theta), by intensity:
2θ = 32.24°, 2.776 Å, intensity 100; 2θ = 45.90°, 1.977 Å, intensity 71; 2θ = 14.09°, 6.284 Å, intensity 70; 2θ = 31.78°, 2.816 Å, intensity 54; 2θ = 26.02°, 3.424 Å, intensity 33; 2θ = 13.39°, 6.612 Å, intensity 28; 2θ = 26.97°, 3.306 Å, intensity 21; 2θ = 58.78°, 1.571 Å, intensity 19; 2θ = 55.60°, 1.653 Å, intensity 18; 2θ = 44.37°, 2.042 Å, intensity 17

```
Na2PmGaS4
1.0
5.566 -5.631 0.000
5.566 5.631 0.000
-5.145 0.000 5.555
Na Pm Ga S
4 2 2 8
Direct
0.000 0.000 0.000
0.000 0.000 0.500
0.000 0.500 0.000
0.500 0.000 0.500
0.000 0.500 0.500
0.500 0.000 0.000
0.500 0.500 0.000
0.500 0.500 0.500
0.258 0.741 0.998
0.259 0.742 0.502
0.293 0.295 0.042
0.295 0.293 0.542
0.705 0.707 0.458
0.707 0.705 0.958
0.741 0.258 0.498
0.742 0.259 0.002
```

Structure and theoretical powder XRD pattern of Mn4Al3V2 (a DFT-relaxed cell (PBE, Alexandria); Cu Ka).

The 10 most intense peaks (10 to 80 degrees two-theta), by intensity:
2θ = 43.69°, 2.072 Å, intensity 100; 2θ = 44.21°, 2.049 Å, intensity 92; 2θ = 63.90°, 1.457 Å, intensity 28; 2θ = 27.56°, 3.236 Å, intensity 22; 2θ = 55.37°, 1.659 Å, intensity 4; 2θ = 67.44°, 1.389 Å, intensity 3; 2θ = 11.82°, 7.486 Å, intensity 3; 2θ = 52.44°, 1.745 Å, intensity 3; 2θ = 70.57°, 1.335 Å, intensity 2; 2θ = 48.65°, 1.871 Å, intensity 2

```
Mn4Al3V2
1.0
4.144 0.000 0.000
-2.072 3.589 0.000
0.000 0.000 7.486
Mn Al V
4 3 2
Direct
0.000 0.000 0.151
0.000 0.000 0.849
0.333 0.667 0.396
0.667 0.333 0.604
0.000 0.000 0.500
0.333 0.667 0.068
0.667 0.333 0.932
0.333 0.667 0.712
0.667 0.333 0.288
```

Structure and theoretical powder XRD pattern of PuGaH (a DFT-relaxed cell (PBE, Alexandria); Cu Ka).

The 10 most intense peaks (10 to 80 degrees two-theta), by intensity:
2θ = 37.25°, 2.414 Å, intensity 100; 2θ = 32.35°, 2.768 Å, intensity 95; 2θ = 26.37°, 3.380 Å, intensity 78; 2θ = 35.44°, 2.533 Å, intensity 75; 2θ = 30.01°, 2.977 Å, intensity 57; 2θ = 50.02°, 1.824 Å, intensity 53; 2θ = 32.16°, 2.783 Å, intensity 43; 2θ = 62.17°, 1.493 Å, intensity 30; 2θ = 49.30°, 1.848 Å, intensity 23; 2θ = 67.87°, 1.381 Å, intensity 23

```
PuGaH
1.0
3.187 0.000 0.000
0.000 3.697 0.000
0.000 0.000 8.350
Pu Ga H
2 2 2
Direct
0.250 0.250 0.177
0.750 0.750 0.823
0.250 0.250 0.579
0.750 0.750 0.421
0.250 0.750 0.018
0.750 0.250 0.982
```

Structure and theoretical powder XRD pattern of LiSiPt5 (a DFT-relaxed cell (PBE, Alexandria); Cu Ka).

The 10 most intense peaks (10 to 80 degrees two-theta), by intensity:
2θ = 40.77°, 2.213 Å, intensity 100; 2θ = 40.14°, 2.247 Å, intensity 95; 2θ = 47.15°, 1.927 Å, intensity 71; 2θ = 41.43°, 2.180 Å, intensity 65; 2θ = 33.25°, 2.694 Å, intensity 62; 2θ = 38.63°, 2.331 Å, intensity 49; 2θ = 52.53°, 1.742 Å, intensity 42; 2θ = 32.46°, 2.759 Å, intensity 40; 2θ = 24.00°, 3.708 Å, intensity 40; 2θ = 74.78°, 1.269 Å, intensity 39

```
LiSiPt5
1.0
-3.708 5.517 2.694
3.708 -5.517 2.694
3.708 5.517 -2.694
Li Si Pt
2 2 10
Direct
0.000 0.000 0.000
0.500 0.000 0.500
0.480 0.730 0.750
0.520 0.270 0.250
0.102 0.852 0.250
0.121 0.306 0.425
0.121 0.696 0.815
0.381 0.306 0.685
0.381 0.696 0.075
0.619 0.304 0.925
0.619 0.694 0.315
0.879 0.304 0.185
0.879 0.694 0.575
0.898 0.148 0.750
```

Structure and theoretical powder XRD pattern of TaAsO4 (a DFT-relaxed cell (PBE, Alexandria); Cu Ka).

The 10 most intense peaks (10 to 80 degrees two-theta), by intensity:
2θ = 28.26°, 3.158 Å, intensity 100; 2θ = 25.01°, 3.561 Å, intensity 82; 2θ = 14.95°, 5.924 Å, intensity 45; 2θ = 30.17°, 2.962 Å, intensity 39; 2θ = 33.02°, 2.713 Å, intensity 27; 2θ = 33.34°, 2.688 Å, intensity 27; 2θ = 49.43°, 1.844 Å, intensity 26; 2θ = 54.36°, 1.688 Å, intensity 21; 2θ = 52.42°, 1.746 Å, intensity 21; 2θ = 62.12°, 1.494 Å, intensity 20

```
TaAsO4
1.0
5.520 0.000 0.000
0.000 11.848 0.000
0.000 0.000 5.068
Ta As O
4 4 16
Direct
0.120 0.250 0.250
0.380 0.750 0.250
0.620 0.250 0.750
0.880 0.750 0.750
0.250 0.000 0.649
0.250 0.500 0.851
0.750 0.000 0.351
0.750 0.500 0.149
0.084 0.090 0.412
0.084 0.410 0.088
0.153 0.701 0.508
0.153 0.799 0.992
0.347 0.201 0.992
0.347 0.299 0.508
0.416 0.590 0.088
0.416 0.910 0.412
0.584 0.090 0.588
0.584 0.410 0.912
0.653 0.701 0.492
0.653 0.799 0.008
0.847 0.201 0.008
0.847 0.299 0.492
0.916 0.590 0.912
0.916 0.910 0.588
```

Structure and theoretical powder XRD pattern of BeAlCo2 (a DFT-relaxed cell (PBE, Alexandria); Cu Ka).

The 10 most intense peaks (10 to 80 degrees two-theta), by intensity:
2θ = 46.49°, 1.953 Å, intensity 100; 2θ = 25.78°, 3.456 Å, intensity 45; 2θ = 47.45°, 1.916 Å, intensity 31; 2θ = 45.27°, 2.003 Å, intensity 27; 2θ = 34.41°, 2.606 Å, intensity 22; 2θ = 67.67°, 1.385 Å, intensity 18; 2θ = 41.20°, 2.191 Å, intensity 15; 2θ = 59.93°, 1.544 Å, intensity 8; 2θ = 68.03°, 1.378 Å, intensity 7; 2θ = 69.33°, 1.355 Å, intensity 4

```
BeAlCo2
1.0
2.756 0.000 0.000
0.000 3.831 0.000
0.000 0.000 8.012
Be Al Co
2 2 4
Direct
0.000 0.000 0.000
0.500 0.500 0.500
0.000 0.500 0.237
0.500 0.000 0.737
0.000 0.000 0.478
0.000 0.500 0.727
0.500 0.000 0.227
0.500 0.500 0.978
```